The following is a simulated X-ray diffraction stick pattern of Zr3TiPb4O12. It was derived from a DFT-relaxed cell (GGA-PBE, the Materials Project), using λ = 1.5418 Å (Cu Kα).
Neutral-atom scattering factors, no anomalous dispersion.

Peak list (10 most intense, 5 to 70 degrees two-theta, in order of falling intensity)
2θ = 30.24°, I = 100; 2θ = 29.79°, I = 99; 2θ = 43.38°, I = 48; 2θ = 30.49°, I = 48; 2θ = 30.11°, I = 48; 2θ = 21.30°, I = 42; 2θ = 53.79°, I = 39; 2θ = 37.28°, I = 33; 2θ = 42.55°, I = 25; 2θ = 20.91°, I = 23

Cell and atoms:
a = 4.250 Å, b = 11.728 Å, c = 5.937 Å
α = 90.00°, β = 91.19°, γ = 90.00°
Sites, in units of the cell vectors:
Zr (0.000, 0.000, 0.000)
Zr (0.000, 0.254, 0.502)
Zr (0.000, 0.746, 0.502)
Ti (0.023, 0.500, 0.998)
Pb (0.550, 0.500, 0.443)
Pb (0.552, 0.000, 0.451)
Pb (0.556, 0.260, 0.957)
Pb (0.556, 0.740, 0.957)
O (0.448, 0.500, 0.029)
O (0.481, 0.000, 0.045)
O (0.481, 0.258, 0.542)
O (0.481, 0.742, 0.542)
O (0.948, 0.384, 0.265)
O (0.948, 0.616, 0.265)
O (0.954, 0.135, 0.780)
O (0.954, 0.865, 0.780)
O (0.956, 0.121, 0.284)
O (0.956, 0.378, 0.790)
O (0.956, 0.622, 0.790)
O (0.956, 0.879, 0.284)

=====

The following is a simulated X-ray diffraction stick pattern of ZrTi2Pb3O9. It was derived from a DFT-relaxed cell (GGA-PBE, the Materials Project), using λ = 1.5418 Å (Cu Kα).
Neutral-atom scattering factors, no anomalous dispersion.

Peak list (10 most intense, 5 to 70 degrees two-theta, in order of falling intensity)
2θ = 29.95°, I = 100; 2θ = 30.11°, I = 99; 2θ = 31.86°, I = 82; 2θ = 37.78°, I = 51; 2θ = 52.14°, I = 45; 2θ = 19.76°, I = 40; 2θ = 55.50°, I = 36; 2θ = 55.79°, I = 34; 2θ = 45.46°, I = 24; 2θ = 22.28°, I = 23

Cell and atoms:
a = 3.990 Å, b = 11.861 Å, c = 4.492 Å
α = 90.00°, β = 90.00°, γ = 90.00°
Sites, in units of the cell vectors:
Zr (0.000, 0.000, 0.000)
Ti (0.000, 0.338, 0.006)
Ti (0.000, 0.662, 0.006)
Pb (0.500, 0.175, 0.558)
Pb (0.500, 0.500, 0.560)
Pb (0.500, 0.825, 0.558)
O (0.000, 0.000, 0.438)
O (0.000, 0.177, 0.906)
O (0.000, 0.337, 0.397)
O (0.000, 0.500, 0.902)
O (0.000, 0.663, 0.397)
O (0.000, 0.823, 0.906)
O (0.500, 0.000, 0.890)
O (0.500, 0.338, 0.912)
O (0.500, 0.662, 0.912)

=====

The following is a simulated X-ray diffraction stick pattern of Zr4TiPb5O15. It was derived from a DFT-relaxed cell (GGA-PBE, the Materials Project), using λ = 1.5418 Å (Cu Kα).
Neutral-atom scattering factors, no anomalous dispersion.

Peak list (10 most intense, 5 to 70 degrees two-theta, in order of falling intensity)
2θ = 30.30°, I = 100; 2θ = 29.96°, I = 97; 2θ = 30.12°, I = 52; 2θ = 29.55°, I = 51; 2θ = 42.70°, I = 50; 2θ = 20.98°, I = 45; 2θ = 53.11°, I = 30; 2θ = 53.89°, I = 29; 2θ = 43.55°, I = 24; 2θ = 37.23°, I = 22

Cell and atoms:
a = 4.236 Å, b = 4.236 Å, c = 20.783 Å
α = 90.65°, β = 90.65°, γ = 88.93°
Sites, in units of the cell vectors:
Zr (0.000, 0.000, 0.000)
Zr (0.000, 0.000, 0.202)
Zr (0.997, 0.997, 0.797)
Zr (0.999, 0.999, 0.405)
Ti (0.022, 0.022, 0.601)
Pb (0.552, 0.552, 0.686)
Pb (0.553, 0.553, 0.091)
Pb (0.553, 0.553, 0.293)
Pb (0.553, 0.553, 0.890)
Pb (0.556, 0.556, 0.498)
O (0.460, 0.953, 0.606)
O (0.482, 0.947, 0.806)
O (0.483, 0.948, 0.412)
O (0.484, 0.947, 0.008)
O (0.484, 0.948, 0.209)
O (0.947, 0.482, 0.806)
O (0.947, 0.484, 0.008)
O (0.948, 0.483, 0.412)
O (0.948, 0.484, 0.209)
O (0.950, 0.950, 0.697)
O (0.953, 0.460, 0.606)
O (0.953, 0.953, 0.512)
O (0.954, 0.954, 0.104)
O (0.955, 0.955, 0.901)
O (0.956, 0.956, 0.306)

=====

The following is a simulated X-ray diffraction stick pattern of Zr3Ti2Pb5O15. It was derived from a DFT-relaxed cell (GGA-PBE, the Materials Project), using λ = 1.5418 Å (Cu Kα).
Neutral-atom scattering factors, no anomalous dispersion.

Peak list (10 most intense, 5 to 70 degrees two-theta, in order of falling intensity)
2θ = 30.63°, I = 100; 2θ = 30.24°, I = 97; 2θ = 43.58°, I = 50; 2θ = 21.39°, I = 47; 2θ = 54.20°, I = 40; 2θ = 37.67°, I = 26; 2θ = 48.78°, I = 21; 2θ = 54.45°, I = 20; 2θ = 63.77°, I = 18; 2θ = 53.47°, I = 17

Cell and atoms:
a = 12.603 Å, b = 12.603 Å, c = 12.603 Å
α = 26.78°, β = 26.78°, γ = 26.78°
Sites, in units of the cell vectors:
Zr (0.000, 0.000, 0.000)
Zr (0.195, 0.195, 0.195)
Zr (0.597, 0.597, 0.597)
Ti (0.400, 0.400, 0.400)
Ti (0.798, 0.798, 0.798)
Pb (0.102, 0.102, 0.102)
Pb (0.310, 0.310, 0.310)
Pb (0.504, 0.504, 0.504)
Pb (0.708, 0.708, 0.708)
Pb (0.907, 0.907, 0.907)
O (0.088, 0.593, 0.593)
O (0.205, 0.205, 0.673)
O (0.205, 0.673, 0.205)
O (0.275, 0.800, 0.800)
O (0.397, 0.397, 0.874)
O (0.397, 0.874, 0.397)
O (0.491, 0.986, 0.986)
O (0.593, 0.088, 0.593)
O (0.593, 0.593, 0.088)
O (0.673, 0.205, 0.205)
O (0.800, 0.275, 0.800)
O (0.800, 0.800, 0.275)
O (0.874, 0.397, 0.397)
O (0.986, 0.491, 0.986)
O (0.986, 0.986, 0.491)

=====

The following is a simulated X-ray diffraction stick pattern of ZrTi4Pb5O15. It was derived from a DFT-relaxed cell (GGA-PBE, the Materials Project), using λ = 1.5418 Å (Cu Kα).
Neutral-atom scattering factors, no anomalous dispersion.

Peak list (10 most intense, 5 to 70 degrees two-theta, in order of falling intensity)
2θ = 30.19°, I = 100; 2θ = 32.09°, I = 41; 2θ = 56.03°, I = 35; 2θ = 38.00°, I = 29; 2θ = 22.54°, I = 26; 2θ = 46.02°, I = 24; 2θ = 52.39°, I = 23; 2θ = 19.82°, I = 22; 2θ = 46.63°, I = 15; 2θ = 67.02°, I = 14

Cell and atoms:
a = 14.229 Å, b = 14.229 Å, c = 4.480 Å
α = 90.00°, β = 90.00°, γ = 157.41°
Sites, in units of the cell vectors:
Zr (0.000, 0.000, 0.000)
Ti (0.201, 0.799, 0.007)
Ti (0.397, 0.603, 0.006)
Ti (0.603, 0.397, 0.006)
Ti (0.799, 0.201, 0.007)
Pb (0.104, 0.896, 0.557)
Pb (0.299, 0.701, 0.559)
Pb (0.500, 0.500, 0.557)
Pb (0.701, 0.299, 0.559)
Pb (0.896, 0.104, 0.557)
O (0.000, 0.000, 0.445)
O (0.000, 0.500, 0.910)
O (0.097, 0.401, 0.906)
O (0.200, 0.800, 0.400)
O (0.207, 0.313, 0.908)
O (0.313, 0.207, 0.908)
O (0.397, 0.603, 0.400)
O (0.401, 0.097, 0.906)
O (0.500, 0.000, 0.910)
O (0.599, 0.903, 0.906)
O (0.603, 0.397, 0.400)
O (0.687, 0.793, 0.908)
O (0.793, 0.687, 0.908)
O (0.800, 0.200, 0.400)
O (0.903, 0.599, 0.906)

=====

The following is a simulated X-ray diffraction stick pattern of Zr4TiPb5O15. It was derived from a DFT-relaxed cell (GGA-PBE, the Materials Project), using λ = 1.5418 Å (Cu Kα).
Neutral-atom scattering factors, no anomalous dispersion.

Peak list (10 most intense, 5 to 70 degrees two-theta, in order of falling intensity)
2θ = 27.36°, I = 100; 2θ = 30.38°, I = 77; 2θ = 30.62°, I = 76; 2θ = 30.24°, I = 75; 2θ = 30.90°, I = 71; 2θ = 33.24°, I = 58; 2θ = 39.11°, I = 52; 2θ = 43.25°, I = 39; 2θ = 19.27°, I = 38; 2θ = 37.36°, I = 33

Cell and atoms:
a = 5.884 Å, b = 5.951 Å, c = 24.282 Å
α = 83.38°, β = 89.98°, γ = 60.38°
Sites, in units of the cell vectors:
Zr (0.000, 0.000, 0.000)
Zr (0.098, 0.103, 0.298)
Zr (0.200, 0.198, 0.597)
Zr (0.300, 0.300, 0.899)
Zr (0.497, 0.501, 0.495)
Zr (0.600, 0.599, 0.798)
Zr (0.700, 0.702, 0.101)
Zr (0.899, 0.899, 0.697)
Ti (0.396, 0.407, 0.199)
Ti (0.797, 0.806, 0.397)
Pb (0.021, 0.109, 0.148)
Pb (0.115, 0.216, 0.441)
Pb (0.218, 0.307, 0.743)
Pb (0.319, 0.407, 0.046)
Pb (0.419, 0.506, 0.344)
Pb (0.518, 0.607, 0.642)
Pb (0.619, 0.707, 0.944)
Pb (0.715, 0.817, 0.245)
Pb (0.817, 0.903, 0.540)
Pb (0.919, 0.007, 0.844)
O (0.066, 0.511, 0.159)
O (0.101, 0.017, 0.656)
O (0.106, 0.512, 0.654)
O (0.136, 0.615, 0.956)
O (0.170, 0.597, 0.442)
O (0.171, 0.090, 0.944)
O (0.239, 0.718, 0.757)
O (0.296, 0.217, 0.255)
O (0.301, 0.697, 0.252)
O (0.339, 0.810, 0.553)
O (0.375, 0.288, 0.541)
O (0.384, 0.790, 0.046)
O (0.466, 0.907, 0.356)
O (0.500, 0.418, 0.857)
O (0.507, 0.914, 0.855)
O (0.539, 0.023, 0.156)
O (0.563, 0.491, 0.149)
O (0.581, 0.989, 0.642)
O (0.641, 0.118, 0.958)
O (0.697, 0.620, 0.453)
O (0.703, 0.096, 0.449)
O (0.736, 0.213, 0.755)
O (0.772, 0.689, 0.742)
O (0.775, 0.196, 0.244)
O (0.842, 0.314, 0.553)
O (0.899, 0.816, 0.059)
O (0.903, 0.315, 0.058)
O (0.942, 0.417, 0.354)
O (0.966, 0.889, 0.347)
O (0.983, 0.389, 0.843)

=====

The following is a simulated X-ray diffraction stick pattern of ZrTi2Pb3O9. It was derived from a DFT-relaxed cell (GGA-PBE, the Materials Project), using λ = 1.5418 Å (Cu Kα).
Neutral-atom scattering factors, no anomalous dispersion.

Peak list (10 most intense, 5 to 70 degrees two-theta, in order of falling intensity)
2θ = 30.68°, I = 100; 2θ = 31.13°, I = 64; 2θ = 21.73°, I = 59; 2θ = 44.29°, I = 52; 2θ = 55.13°, I = 40; 2θ = 31.17°, I = 32; 2θ = 38.30°, I = 31; 2θ = 49.53°, I = 22; 2θ = 54.25°, I = 20; 2θ = 64.95°, I = 17

Cell and atoms:
a = 5.830 Å, b = 5.830 Å, c = 7.054 Å
α = 90.63°, β = 90.63°, γ = 58.96°
Sites, in units of the cell vectors:
Zr (0.000, 0.000, 0.000)
Ti (0.335, 0.335, 0.332)
Ti (0.671, 0.671, 0.665)
Pb (0.028, 0.028, 0.494)
Pb (0.357, 0.357, 0.808)
Pb (0.688, 0.688, 0.161)
O (0.141, 0.640, 0.181)
O (0.151, 0.151, 0.193)
O (0.327, 0.798, 0.832)
O (0.474, 0.474, 0.509)
O (0.475, 0.977, 0.512)
O (0.640, 0.141, 0.181)
O (0.798, 0.327, 0.832)
O (0.808, 0.808, 0.845)
O (0.977, 0.475, 0.512)

=====

The following is a simulated X-ray diffraction stick pattern of Zr4TiPb5O15. It was derived from a DFT-relaxed cell (GGA-PBE, the Materials Project), using λ = 1.5418 Å (Cu Kα).
Neutral-atom scattering factors, no anomalous dispersion.

Peak list (10 most intense, 5 to 70 degrees two-theta, in order of falling intensity)
2θ = 30.38°, I = 100; 2θ = 30.04°, I = 100; 2θ = 43.25°, I = 50; 2θ = 53.76°, I = 41; 2θ = 21.24°, I = 40; 2θ = 37.36°, I = 21; 2θ = 48.44°, I = 21; 2θ = 53.98°, I = 21; 2θ = 53.13°, I = 19; 2θ = 63.20°, I = 17

Cell and atoms:
a = 5.884 Å, b = 5.951 Å, c = 24.282 Å
α = 83.38°, β = 89.98°, γ = 60.38°
Sites, in units of the cell vectors:
Zr (0.000, 0.000, 0.000)
Zr (0.098, 0.805, 0.298)
Zr (0.200, 0.602, 0.597)
Zr (0.300, 0.401, 0.899)
Zr (0.497, 0.006, 0.495)
Zr (0.600, 0.801, 0.798)
Zr (0.700, 0.601, 0.101)
Zr (0.899, 0.202, 0.697)
Ti (0.396, 0.208, 0.199)
Ti (0.797, 0.409, 0.397)
Pb (0.021, 0.961, 0.148)
Pb (0.115, 0.774, 0.441)
Pb (0.218, 0.564, 0.743)
Pb (0.319, 0.361, 0.046)
Pb (0.419, 0.162, 0.344)
Pb (0.518, 0.965, 0.642)
Pb (0.619, 0.763, 0.944)
Pb (0.715, 0.572, 0.245)
Pb (0.817, 0.364, 0.540)
Pb (0.919, 0.163, 0.844)
O (0.066, 0.352, 0.159)
O (0.101, 0.361, 0.656)
O (0.106, 0.858, 0.654)
O (0.136, 0.659, 0.956)
O (0.170, 0.156, 0.442)
O (0.171, 0.146, 0.944)
O (0.239, 0.961, 0.757)
O (0.296, 0.962, 0.255)
O (0.301, 0.445, 0.252)
O (0.339, 0.257, 0.553)
O (0.375, 0.747, 0.541)
O (0.384, 0.745, 0.046)
O (0.466, 0.551, 0.356)
O (0.500, 0.561, 0.857)
O (0.507, 0.058, 0.855)
O (0.539, 0.867, 0.156)
O (0.563, 0.342, 0.149)
O (0.581, 0.347, 0.642)
O (0.641, 0.160, 0.958)
O (0.697, 0.167, 0.453)
O (0.703, 0.647, 0.449)
O (0.736, 0.458, 0.755)
O (0.772, 0.947, 0.742)
O (0.775, 0.952, 0.244)
O (0.842, 0.760, 0.553)
O (0.899, 0.757, 0.059)
O (0.903, 0.257, 0.058)
O (0.942, 0.063, 0.354)
O (0.966, 0.542, 0.347)
O (0.983, 0.546, 0.843)

=====

The following is a simulated X-ray diffraction stick pattern of Zr3Ti2Pb5O15. It was derived from a DFT-relaxed cell (GGA-PBE, the Materials Project), using λ = 1.5418 Å (Cu Kα).
Neutral-atom scattering factors, no anomalous dispersion.

Peak list (10 most intense, 5 to 70 degrees two-theta, in order of falling intensity)
2θ = 30.66°, I = 100; 2θ = 30.28°, I = 68; 2θ = 43.44°, I = 35; 2θ = 30.07°, I = 34; 2θ = 21.32°, I = 33; 2θ = 54.44°, I = 27; 2θ = 37.72°, I = 17; 2θ = 43.85°, I = 16; 2θ = 21.52°, I = 16; 2θ = 54.20°, I = 14

Cell and atoms:
a = 9.202 Å, b = 9.202 Å, c = 7.301 Å
α = 104.75°, β = 104.75°, γ = 37.01°
Sites, in units of the cell vectors:
Zr (0.000, 0.000, 0.000)
Zr (0.397, 0.397, 0.598)
Zr (0.600, 0.600, 0.401)
Ti (0.196, 0.196, 0.791)
Ti (0.797, 0.797, 0.190)
Pb (0.205, 0.205, 0.251)
Pb (0.390, 0.390, 0.054)
Pb (0.605, 0.605, 0.865)
Pb (0.799, 0.799, 0.649)
Pb (0.991, 0.991, 0.450)
O (0.000, 0.500, 0.035)
O (0.083, 0.609, 0.421)
O (0.107, 0.107, 0.932)
O (0.202, 0.684, 0.830)
O (0.284, 0.808, 0.234)
O (0.297, 0.297, 0.740)
O (0.403, 0.901, 0.643)
O (0.500, 0.000, 0.035)
O (0.506, 0.506, 0.544)
O (0.609, 0.083, 0.421)
O (0.684, 0.202, 0.830)
O (0.705, 0.705, 0.326)
O (0.808, 0.284, 0.234)
O (0.898, 0.898, 0.139)
O (0.901, 0.403, 0.643)